1.
Structure and computed XRD peak list of Ho2Se3O12 (DFT lattice parameters and positions (PBE); Cu Kα, 1.54184 Å).

Cell and atoms:
a b c (Å): 9.917 9.917 9.917
angles (deg): 58.07 58.07 58.07
Fractional positions:
Ho 0.144 0.144 0.144
Ho 0.356 0.356 0.356
Ho 0.644 0.644 0.644
Ho 0.856 0.856 0.856
Se 0.038 0.750 0.462
Se 0.250 0.538 0.962
Se 0.462 0.038 0.750
Se 0.538 0.962 0.250
Se 0.750 0.462 0.038
Se 0.962 0.250 0.538
O 0.011 0.774 0.630
O 0.064 0.919 0.289
O 0.081 0.711 0.936
O 0.130 0.274 0.511
O 0.211 0.581 0.436
O 0.226 0.370 0.989
O 0.274 0.511 0.130
O 0.289 0.064 0.919
O 0.370 0.989 0.226
O 0.419 0.564 0.789
O 0.436 0.211 0.581
O 0.489 0.870 0.726
O 0.511 0.130 0.274
O 0.564 0.789 0.419
O 0.581 0.436 0.211
O 0.630 0.011 0.774
O 0.711 0.936 0.081
O 0.726 0.489 0.870
O 0.774 0.630 0.011
O 0.789 0.419 0.564
O 0.870 0.726 0.489
O 0.919 0.289 0.064
O 0.936 0.081 0.711
O 0.989 0.226 0.370

Principal peaks in the range 2θ = 10–90°, most intense first:
2θ (°)  d [Å]  I (rel.)
21.40  4.152  100
28.57  3.124  91
17.90  4.954  85
25.81  3.452  72
32.22  2.779  56
18.43  4.813  51

2.
Structure and computed XRD peak list of Ho2SeO2 (DFT lattice parameters and positions (PBE); Cu Kα, 1.54184 Å).

Cell and atoms:
a b c (Å): 3.826 3.826 6.808
angles (deg): 90.00 90.00 120.00
Fractional positions:
Ho 0.333 0.667 0.291
Ho 0.667 0.333 0.709
Se 0.000 0.000 0.000
O 0.333 0.667 0.626
O 0.667 0.333 0.374

Principal peaks in the range 2θ = 10–90°, most intense first:
2θ (°)  d [Å]  I (rel.)
29.99  2.979  100
37.89  2.374  41
47.53  1.913  33
57.22  1.610  17
48.63  1.872  16
63.61  1.463  15

3.
Structure and computed XRD peak list of Ho2Se3O12 (DFT lattice parameters and positions (PBE); Cu Kα, 1.54184 Å).

Cell and atoms:
a b c (Å): 6.796 6.796 11.305
angles (deg): 99.37 99.37 117.07
Fractional positions:
Ho 0.042 0.292 0.095
Ho 0.292 0.042 0.595
Ho 0.708 0.958 0.405
Ho 0.958 0.708 0.905
Se 0.120 0.880 0.250
Se 0.214 0.472 0.425
Se 0.472 0.214 0.925
Se 0.528 0.786 0.075
Se 0.786 0.528 0.575
Se 0.880 0.120 0.750
O 0.028 0.413 0.289
O 0.080 0.679 0.122
O 0.111 0.211 0.458
O 0.126 0.214 0.712
O 0.211 0.111 0.958
O 0.214 0.126 0.212
O 0.233 0.663 0.544
O 0.321 0.920 0.378
O 0.337 0.767 0.956
O 0.413 0.028 0.789
O 0.424 0.530 0.106
O 0.470 0.576 0.394
O 0.530 0.424 0.606
O 0.576 0.470 0.894
O 0.587 0.972 0.211
O 0.663 0.233 0.044
O 0.679 0.080 0.622
O 0.767 0.337 0.456
O 0.786 0.874 0.788
O 0.789 0.889 0.042
O 0.874 0.786 0.288
O 0.889 0.789 0.542
O 0.920 0.321 0.878
O 0.972 0.587 0.711

Principal peaks in the range 2θ = 10–90°, most intense first:
2θ (°)  d [Å]  I (rel.)
29.32  3.046  100
29.52  3.026  99
47.83  1.902  60
17.38  5.101  36
35.63  2.520  36
15.21  5.825  35

4.
Structure and computed XRD peak list of Ho2Si2O7 (DFT lattice parameters and positions (PBE); Cu Kα, 1.54184 Å).

Cell and atoms:
a b c (Å): 13.751 8.159 5.077
angles (deg): 90.00 90.00 90.00
Fractional positions:
Ho 0.126 0.010 0.157
Ho 0.126 0.490 0.157
Ho 0.374 0.510 0.657
Ho 0.374 0.990 0.657
Ho 0.626 0.010 0.343
Ho 0.626 0.490 0.343
Ho 0.874 0.510 0.843
Ho 0.874 0.990 0.843
Si 0.041 0.750 0.626
Si 0.182 0.250 0.620
Si 0.318 0.750 0.120
Si 0.459 0.250 0.126
Si 0.541 0.750 0.874
Si 0.682 0.250 0.880
Si 0.818 0.750 0.380
Si 0.959 0.250 0.374
O 0.048 0.580 0.794
O 0.048 0.920 0.794
O 0.080 0.250 0.434
O 0.100 0.750 0.348
O 0.155 0.250 0.931
O 0.234 0.084 0.508
O 0.234 0.416 0.508
O 0.266 0.584 0.008
O 0.266 0.916 0.008
O 0.345 0.750 0.431
O 0.400 0.250 0.848
O 0.420 0.750 0.934
O 0.452 0.080 0.294
O 0.452 0.420 0.294
O 0.548 0.580 0.706
O 0.548 0.920 0.706
O 0.580 0.250 0.066
O 0.600 0.750 0.152
O 0.655 0.250 0.569
O 0.734 0.084 0.992
O 0.734 0.416 0.992
O 0.766 0.584 0.492
O 0.766 0.916 0.492
O 0.845 0.750 0.069
O 0.900 0.250 0.652
O 0.920 0.750 0.566
O 0.952 0.080 0.206
O 0.952 0.420 0.206

Principal peaks in the range 2θ = 10–90°, most intense first:
2θ (°)  d [Å]  I (rel.)
21.77  4.083  100
30.98  2.886  71
25.92  3.438  35
28.82  3.098  33
34.11  2.629  29
49.97  1.825  22

5.
Structure and computed XRD peak list of Ho2SiO5 (DFT lattice parameters and positions (PBE); Cu Kα, 1.54184 Å).

Cell and atoms:
a b c (Å): 9.124 6.848 6.724
angles (deg): 90.00 105.23 90.00
Fractional positions:
Ho 0.029 0.124 0.231
Ho 0.029 0.376 0.731
Ho 0.370 0.139 0.049
Ho 0.370 0.361 0.549
Ho 0.630 0.639 0.451
Ho 0.630 0.861 0.951
Ho 0.971 0.624 0.269
Ho 0.971 0.876 0.769
Si 0.299 0.591 0.022
Si 0.299 0.909 0.522
Si 0.701 0.091 0.478
Si 0.701 0.409 0.978
O 0.112 0.119 0.937
O 0.112 0.381 0.437
O 0.115 0.638 0.987
O 0.115 0.862 0.487
O 0.291 0.070 0.332
O 0.291 0.430 0.832
O 0.371 0.054 0.718
O 0.371 0.446 0.218
O 0.396 0.714 0.516
O 0.396 0.786 0.016
O 0.604 0.214 0.984
O 0.604 0.286 0.484
O 0.629 0.554 0.782
O 0.629 0.946 0.282
O 0.709 0.570 0.168
O 0.709 0.930 0.668
O 0.885 0.138 0.513
O 0.885 0.362 0.013
O 0.888 0.619 0.563
O 0.888 0.881 0.063

Principal peaks in the range 2θ = 10–90°, most intense first:
2θ (°)  d [Å]  I (rel.)
32.43  2.761  100
30.47  2.934  64
33.81  2.651  59
29.50  3.028  57
16.40  5.405  51
31.81  2.813  50